SrCa7Ti2Mn6O23: computed X-ray powder pattern (Cu Kα), based on a DFT-relaxed cell (GGA+U, Alexandria).

Largest 10 diffraction maxima, sorted by position, 10° ≤ 2θ ≤ 90°:
2.719 Å, I = 100.0, (2 0 2)
2.713 Å, I = 24.9, (2 0 -2)
2.687 Å, I = 21.0, (2 -2 0)
1.931 Å, I = 20.3, (0 0 4)
1.915 Å, I = 19.6, (0 4 0)
1.908 Å, I = 18.5, (4 0 0)
1.573 Å, I = 9.1, (2 2 -4)
1.569 Å, I = 18.0, (2 -2 4)
1.558 Å, I = 11.0, (2 -4 2)
1.556 Å, I = 11.1, (4 -2 2)

Atomic structure:
```
SrCa7Ti2Mn6O23
1.0
7.634 0.000 0.000
0.095 7.660 0.000
0.014 0.017 7.725
Sr Ca Ti Mn O
1 7 2 6 23
direct
0.000 0.000 0.000 Sr
0.023 0.521 0.488 Ca
0.028 0.025 0.493 Ca
0.498 0.486 0.006 Ca
0.521 0.998 0.001 Ca
0.535 0.035 0.499 Ca
0.562 0.510 0.500 Ca
0.992 0.475 0.004 Ca
0.266 0.259 0.752 Ti
0.277 0.744 0.726 Ti
0.267 0.259 0.251 Mn
0.271 0.754 0.258 Mn
0.764 0.258 0.251 Mn
0.764 0.758 0.247 Mn
0.766 0.259 0.749 Mn
0.769 0.757 0.750 Mn
0.014 0.231 0.778 O
0.016 0.226 0.224 O
0.019 0.794 0.288 O
0.020 0.792 0.712 O
0.226 0.509 0.202 O
0.229 0.283 0.504 O
0.233 0.514 0.814 O
0.298 0.999 0.737 O
0.302 0.005 0.290 O
0.303 0.222 0.007 O
0.309 0.688 0.507 O
0.513 0.729 0.187 O
0.514 0.298 0.287 O
0.516 0.294 0.719 O
0.517 0.723 0.801 O
0.714 0.784 0.498 O
0.728 0.008 0.782 O
0.728 0.009 0.218 O
0.738 0.292 0.000 O
0.789 0.219 0.500 O
0.799 0.508 0.284 O
0.805 0.508 0.708 O
0.820 0.727 0.998 O
```